Calculated PXRD pattern of TcN for copper Kα, from a GGA-PBE-relaxed structure.

Cell and atoms:
```
TcN
1.0
4.591 0.000 0.000
0.000 4.591 0.000
0.000 0.000 4.591
Tc N
4 4
Direct
0.000 0.000 0.000
0.000 0.500 0.500
0.500 0.000 0.500
0.500 0.500 0.000
0.250 0.250 0.750
0.250 0.750 0.250
0.750 0.250 0.250
0.750 0.750 0.750
```

Peak list (4 most intense, 2θ = 5–70°, by angle)
2θ/deg, intensity
33.8, 100
39.2, 37
56.7, 40
67.7, 38

=====

Calculated PXRD pattern of Sr4Nd3Ta2Al5O21 for copper Kα, from a GGA-PBE-relaxed structure.

Cell and atoms:
```
Sr4Nd3Ta2Al5O21
1.0
2.732 1.578 15.653
-2.732 1.578 15.653
0.000 -3.155 15.653
Sr Nd Ta Al O
4 3 2 5 21
Direct
0.074 0.074 0.074
0.357 0.357 0.357
0.643 0.643 0.643
0.926 0.926 0.926
0.211 0.211 0.211
0.500 0.500 0.500
0.789 0.789 0.789
0.285 0.285 0.285
0.715 0.715 0.715
0.000 0.000 0.000
0.143 0.143 0.143
0.431 0.431 0.431
0.569 0.569 0.569
0.857 0.857 0.857
0.000 0.000 0.500
0.000 0.500 0.000
0.077 0.572 0.572
0.140 0.140 0.648
0.140 0.648 0.140
0.218 0.710 0.710
0.290 0.290 0.782
0.290 0.782 0.290
0.352 0.860 0.860
0.428 0.428 0.923
0.428 0.923 0.428
0.500 0.000 0.000
0.572 0.077 0.572
0.572 0.572 0.077
0.648 0.140 0.140
0.710 0.218 0.710
0.710 0.710 0.218
0.782 0.290 0.290
0.860 0.352 0.860
0.860 0.860 0.352
0.923 0.428 0.428
```

Peak list (6 most intense, 2θ = 5–70°, by angle)
2θ/deg, intensity
19.1, 13
20.2, 10
32.8, 100
47.0, 34
58.4, 28
68.7, 10

=====

Calculated PXRD pattern of Pr6GaFe13 for copper Kα, from a GGA-PBE-relaxed structure.

Cell and atoms:
```
Pr6GaFe13
1.0
-4.031 4.031 11.728
4.031 -4.031 11.728
4.031 4.031 -11.728
Pr Ga Fe
12 2 26
Direct
0.021 0.521 0.167
0.107 0.107 0.000
0.146 0.979 0.500
0.354 0.854 0.833
0.393 0.393 0.000
0.479 0.646 0.500
0.521 0.354 0.500
0.607 0.607 0.000
0.646 0.146 0.167
0.854 0.021 0.500
0.893 0.893 0.000
0.979 0.479 0.833
0.250 0.250 0.000
0.750 0.750 0.000
0.000 0.500 0.500
0.020 0.294 0.500
0.066 0.210 0.276
0.119 0.619 0.857
0.206 0.480 0.500
0.210 0.934 0.144
0.237 0.737 0.857
0.263 0.119 0.500
0.290 0.434 0.724
0.294 0.794 0.273
0.381 0.237 0.500
0.434 0.710 0.144
0.480 0.980 0.273
0.500 0.000 0.500
0.520 0.020 0.727
0.566 0.290 0.856
0.619 0.763 0.500
0.706 0.206 0.727
0.710 0.566 0.276
0.737 0.881 0.500
0.763 0.263 0.143
0.790 0.066 0.856
0.794 0.520 0.500
0.881 0.381 0.143
0.934 0.790 0.724
0.980 0.706 0.500
```

Peak list (6 most intense, 2θ = 5–70°, by angle)
2θ/deg, intensity
7.5, 41
27.2, 70
31.3, 100
35.2, 73
37.9, 58
46.6, 38

=====

Calculated PXRD pattern of Y2SnAu2 for copper Kα, from a GGA-PBE-relaxed structure.

Cell and atoms:
```
Y2SnAu2
1.0
7.955 0.000 0.000
0.000 7.955 0.000
0.000 0.000 7.585
Y Sn Au
8 4 8
Direct
0.158 0.158 0.000
0.184 0.184 0.500
0.316 0.684 0.000
0.342 0.658 0.500
0.658 0.342 0.500
0.684 0.316 0.000
0.816 0.816 0.500
0.842 0.842 0.000
0.000 0.500 0.250
0.000 0.500 0.750
0.500 0.000 0.250
0.500 0.000 0.750
0.128 0.872 0.278
0.128 0.872 0.722
0.372 0.372 0.222
0.372 0.372 0.778
0.628 0.628 0.222
0.628 0.628 0.778
0.872 0.128 0.278
0.872 0.128 0.722
```

Peak list (6 most intense, 2θ = 5–70°, by angle)
2θ/deg, intensity
23.5, 20
25.0, 16
34.6, 100
35.7, 49
43.2, 18
61.2, 16

=====

Calculated PXRD pattern of TaCdBF10 for copper Kα, from a GGA-PBE-relaxed structure.

Cell and atoms:
```
TaCdBF10
1.0
8.453 0.000 0.000
0.000 9.571 0.000
-0.692 0.000 9.090
Ta Cd B F
4 4 4 40
Direct
0.166 0.068 0.261
0.166 0.432 0.761
0.834 0.568 0.239
0.834 0.932 0.739
0.320 0.024 0.715
0.320 0.476 0.215
0.680 0.524 0.785
0.680 0.976 0.285
0.434 0.730 0.495
0.434 0.770 0.995
0.566 0.230 0.005
0.566 0.270 0.505
0.062 0.571 0.227
0.062 0.929 0.727
0.148 0.077 0.054
0.148 0.423 0.554
0.160 0.628 0.762
0.160 0.872 0.262
0.181 0.226 0.760
0.181 0.274 0.260
0.189 0.074 0.477
0.189 0.426 0.977
0.334 0.639 0.407
0.334 0.861 0.907
0.338 0.682 0.077
0.338 0.818 0.577
0.396 0.059 0.267
0.396 0.441 0.767
0.463 0.149 0.909
0.463 0.351 0.409
0.476 0.187 0.597
0.476 0.313 0.097
0.524 0.687 0.903
0.524 0.813 0.403
0.537 0.649 0.591
0.537 0.851 0.091
0.604 0.559 0.233
0.604 0.941 0.733
0.662 0.182 0.423
0.662 0.318 0.923
0.666 0.139 0.093
0.666 0.361 0.593
0.811 0.574 0.023
0.811 0.926 0.523
0.819 0.726 0.740
0.819 0.774 0.240
0.840 0.128 0.738
0.840 0.372 0.238
0.852 0.577 0.446
0.852 0.923 0.946
0.938 0.071 0.273
0.938 0.429 0.773
```

Peak list (6 most intense, 2θ = 5–70°, by angle)
2θ/deg, intensity
18.5, 64
19.5, 100
24.4, 99
25.7, 52
27.1, 60
30.0, 53

=====

Calculated PXRD pattern of SbO2 for copper Kα, from a GGA-PBE-relaxed structure.

Cell and atoms:
```
SbO2
1.0
11.315 0.000 0.000
0.000 3.207 0.000
0.000 0.000 10.818
Sb O
8 16
Direct
0.023 0.250 0.132
0.111 0.250 0.573
0.389 0.750 0.073
0.477 0.750 0.632
0.523 0.250 0.368
0.611 0.250 0.927
0.889 0.750 0.427
0.977 0.750 0.868
0.072 0.750 0.445
0.073 0.750 0.718
0.080 0.250 0.948
0.123 0.750 0.172
0.377 0.250 0.672
0.420 0.750 0.448
0.427 0.250 0.218
0.428 0.250 0.945
0.572 0.750 0.055
0.573 0.750 0.782
0.580 0.250 0.552
0.623 0.750 0.328
0.877 0.250 0.828
0.920 0.750 0.052
0.927 0.250 0.282
0.928 0.250 0.555
```

Peak list (6 most intense, 2θ = 5–70°, by angle)
2θ/deg, intensity
15.7, 100
18.2, 33
25.0, 32
25.9, 28
28.9, 27
33.4, 67

=====

Calculated PXRD pattern of ZnSb2O5 for copper Kα, from a GGA-PBE-relaxed structure.

Cell and atoms:
```
ZnSb2O5
1.0
3.995 0.000 0.000
-1.969 5.029 0.000
-0.703 -0.463 13.537
Zn Sb O
2 4 10
Direct
0.000 0.000 0.000
0.045 0.800 0.493
0.319 0.392 0.373
0.342 0.377 0.647
0.889 0.485 0.151
0.920 0.470 0.855
0.087 0.854 0.119
0.093 0.845 0.884
0.128 0.018 0.376
0.155 0.008 0.614
0.357 0.511 0.235
0.383 0.415 0.809
0.426 0.579 0.511
0.861 0.480 0.387
0.882 0.452 0.675
0.917 0.332 0.000
```

Peak list (6 most intense, 2θ = 5–70°, by angle)
2θ/deg, intensity
17.6, 100
24.0, 41
25.2, 45
30.7, 41
31.4, 35
35.7, 63

=====

Calculated PXRD pattern of BaTbEuSbO6 for copper Kα, from a GGA-PBE-relaxed structure.

Cell and atoms:
```
BaTbEuSbO6
1.0
0.000 4.238 4.238
4.238 0.000 4.238
4.238 4.238 0.000
Ba Tb Eu Sb O
1 1 1 1 6
Direct
0.000 0.000 0.000
0.250 0.250 0.250
0.500 0.500 0.500
0.750 0.750 0.750
0.514 0.514 0.986
0.514 0.986 0.514
0.514 0.986 0.986
0.986 0.514 0.514
0.986 0.514 0.986
0.986 0.986 0.514
```

Peak list (6 most intense, 2θ = 5–70°, by angle)
2θ/deg, intensity
29.8, 100
35.1, 1
36.7, 1
42.7, 29
52.9, 41
61.9, 18

=====

Calculated PXRD pattern of ZrSiPt for copper Kα, from a GGA-PBE-relaxed structure.

Cell and atoms:
```
ZrSiPt
1.0
6.665 0.000 0.000
0.000 3.932 0.000
0.000 0.000 7.623
Zr Si Pt
4 4 4
Direct
0.025 0.250 0.178
0.475 0.750 0.678
0.525 0.250 0.322
0.975 0.750 0.822
0.236 0.750 0.378
0.264 0.250 0.878
0.736 0.750 0.122
0.764 0.250 0.622
0.146 0.250 0.564
0.354 0.750 0.064
0.646 0.250 0.936
0.854 0.750 0.436
```

Peak list (6 most intense, 2θ = 5–70°, by angle)
2θ/deg, intensity
17.7, 46
28.8, 78
35.3, 80
35.5, 92
37.3, 44
42.4, 100

=====

Calculated PXRD pattern of UGeRh for copper Kα, from a GGA-PBE-relaxed structure.

Cell and atoms:
```
UGeRh
1.0
6.406 0.000 0.000
0.000 4.500 0.000
0.000 0.000 7.708
U Ge Rh
4 4 4
Direct
0.011 0.250 0.211
0.489 0.750 0.711
0.511 0.250 0.289
0.989 0.750 0.789
0.194 0.250 0.585
0.306 0.750 0.085
0.694 0.250 0.915
0.806 0.750 0.415
0.227 0.750 0.420
0.273 0.250 0.920
0.727 0.750 0.080
0.773 0.250 0.580
```

Peak list (6 most intense, 2θ = 5–70°, by angle)
2θ/deg, intensity
22.9, 30
33.7, 28
36.3, 100
36.5, 44
40.1, 36
40.4, 52